1.
For SmFeB4, a DFT-relaxed cell (GGA-PBE, OQMD) gives the theoretical PXRD pattern in this record (Cu Kα (weighted mean of Kα1 and Kα2)).
Lines closer than 0.1° are merged.

Crystal structure
a = 5.9528 Å, b = 11.5163 Å, c = 3.4395 Å
α = 90.00°, β = 90.00°, γ = 90.00°
Sites, in units of the cell vectors:
Sm 0.1255 0.1507 0.0000
Sm 0.3745 0.6507 0.0000
Sm 0.6255 0.3493 0.0000
Sm 0.8745 0.8493 0.0000
Fe 0.1313 0.4125 0.0000
Fe 0.3687 0.9125 0.0000
Fe 0.6313 0.0875 0.0000
Fe 0.8687 0.5875 0.0000
B 0.0243 0.6885 0.5000
B 0.1104 0.5452 0.5000
B 0.1416 0.9677 0.5000
B 0.2213 0.8177 0.5000
B 0.2787 0.3177 0.5000
B 0.3584 0.4677 0.5000
B 0.3896 0.0452 0.5000
B 0.4757 0.1885 0.5000
B 0.5243 0.8115 0.5000
B 0.6104 0.9548 0.5000
B 0.6416 0.5323 0.5000
B 0.7213 0.6823 0.5000
B 0.7787 0.1823 0.5000
B 0.8584 0.0323 0.5000
B 0.8896 0.4548 0.5000
B 0.9757 0.3115 0.5000

Most intense lines, 5° ≤ 2θ ≤ 70°, by angle:
| 2theta | I/Imax |
| --- | --- |
| 21.47 | 21 |
| 25.90 | 65 |
| 27.65 | 30 |
| 31.04 | 90 |
| 33.89 | 19 |
| 38.25 | 47 |
| 40.86 | 100 |
| 43.73 | 23 |
| 46.79 | 21 |
| 62.95 | 28 |

***

2.
For SmTmFe8B2, a DFT-relaxed cell (GGA-PBE, OQMD) gives the theoretical PXRD pattern in this record (Cu Kα (weighted mean of Kα1 and Kα2)).
Lines closer than 0.1° are merged.

Crystal structure
a = 5.0667 Å, b = 5.0667 Å, c = 7.0278 Å
α = 90.00°, β = 90.00°, γ = 120.00°
Sites, in units of the cell vectors:
Sm 0.0000 0.0000 0.0000
Tm 0.0000 0.0000 0.5000
Fe 0.0000 0.5000 0.2885
Fe 0.0000 0.5000 0.7115
Fe 0.3333 0.6667 0.0000
Fe 0.5000 0.0000 0.2885
Fe 0.5000 0.0000 0.7115
Fe 0.5000 0.5000 0.2885
Fe 0.5000 0.5000 0.7115
Fe 0.6667 0.3333 0.0000
B 0.3333 0.6667 0.5000
B 0.6667 0.3333 0.5000

Most intense lines, 5° ≤ 2θ ≤ 70°, by angle:
| 2theta | I/Imax |
| --- | --- |
| 20.24 | 19 |
| 32.65 | 95 |
| 35.43 | 34 |
| 41.14 | 73 |
| 44.07 | 100 |
| 52.05 | 14 |
| 61.86 | 30 |
| 64.55 | 15 |
| 68.41 | 17 |
| 69.63 | 24 |

***

3.
For FeSnB, a DFT-relaxed cell (GGA-PBE, OQMD) gives the theoretical PXRD pattern in this record (Cu Kα (weighted mean of Kα1 and Kα2)).
Lines closer than 0.1° are merged.

Crystal structure
a = 5.8178 Å, b = 5.7941 Å, c = 4.0218 Å
α = 70.05°, β = 69.42°, γ = 40.53°
Sites, in units of the cell vectors:
Fe 0.2500 0.2500 0.2500
Fe 0.7500 0.7500 0.7500
Sn 0.2419 0.7581 0.2419
Sn 0.7581 0.2419 0.7581
B 0.2911 0.2911 0.7089
B 0.7089 0.7089 0.2911

Most intense lines, 5° ≤ 2θ ≤ 70°, by angle:
| 2theta | I/Imax |
| --- | --- |
| 17.52 | 26 |
| 31.19 | 74 |
| 31.74 | 12 |
| 35.47 | 61 |
| 35.99 | 16 |
| 36.48 | 100 |
| 47.94 | 47 |
| 48.73 | 100 |
| 64.34 | 20 |
| 65.04 | 10 |

***

4.
For Fe2Sn3B, a DFT-relaxed cell (GGA-PBE, OQMD) gives the theoretical PXRD pattern in this record (Cu Kα (weighted mean of Kα1 and Kα2)).
Lines closer than 0.1° are merged.

Crystal structure
a = 6.3867 Å, b = 5.3921 Å, c = 4.9634 Å
α = 76.03°, β = 55.02°, γ = 48.95°
Sites, in units of the cell vectors:
Fe 0.0000 0.0000 0.5000
Fe 0.5000 0.5000 0.0000
Sn 0.0726 0.0726 0.9274
Sn 0.5906 0.9225 0.0775
Sn 0.9225 0.5906 0.4094
B 0.4909 0.4909 0.5091

Most intense lines, 5° ≤ 2θ ≤ 70°, by angle:
| 2theta | I/Imax |
| --- | --- |
| 22.41 | 59 |
| 34.98 | 73 |
| 37.47 | 100 |
| 37.84 | 34 |
| 40.23 | 35 |
| 45.73 | 66 |
| 46.70 | 32 |
| 61.42 | 33 |
| 64.78 | 33 |
| 69.91 | 31 |

***

5.
For Fe2SnB, a DFT-relaxed cell (GGA-PBE, OQMD) gives the theoretical PXRD pattern in this record (Cu Kα (weighted mean of Kα1 and Kα2)).
Lines closer than 0.1° are merged.

Crystal structure
a = 5.8415 Å, b = 5.8415 Å, c = 5.8415 Å
α = 90.00°, β = 90.00°, γ = 90.00°
Sites, in units of the cell vectors:
Fe 0.2067 0.2067 0.2067
Fe 0.2067 0.2067 0.7933
Fe 0.2067 0.7933 0.2067
Fe 0.2067 0.7933 0.7933
Fe 0.7933 0.2067 0.2067
Fe 0.7933 0.2067 0.7933
Fe 0.7933 0.7933 0.2067
Fe 0.7933 0.7933 0.7933
Sn 0.0000 0.5000 0.5000
Sn 0.5000 0.0000 0.5000
Sn 0.5000 0.5000 0.0000
Sn 0.5000 0.5000 0.5000
B 0.0000 0.0000 0.0000
B 0.0000 0.0000 0.5000
B 0.0000 0.5000 0.0000
B 0.5000 0.0000 0.0000

Most intense lines, 5° ≤ 2θ ≤ 70°, by angle:
| 2theta | I/Imax |
| --- | --- |
| 15.17 | 7 |
| 26.43 | 19 |
| 30.61 | 2 |
| 34.33 | 60 |
| 43.84 | 100 |
| 46.65 | 23 |
| 51.91 | 7 |
| 54.41 | 3 |
| 63.73 | 12 |
| 65.93 | 21 |

***

6.
For Fe2SnB3, a DFT-relaxed cell (GGA-PBE, OQMD) gives the theoretical PXRD pattern in this record (Cu Kα (weighted mean of Kα1 and Kα2)).
Lines closer than 0.1° are merged.

Crystal structure
a = 4.9733 Å, b = 3.8594 Å, c = 4.8611 Å
α = 68.43°, β = 46.20°, γ = 65.37°
Sites, in units of the cell vectors:
Fe 0.0000 0.0000 0.5000
Fe 0.5000 0.5000 0.0000
Sn 0.3432 0.3432 0.6568
B 0.5965 0.9124 0.0876
B 0.9124 0.5965 0.4035
B 0.9480 0.9480 0.0520

Most intense lines, 5° ≤ 2θ ≤ 70°, by angle:
| 2theta | I/Imax |
| --- | --- |
| 25.58 | 100 |
| 31.64 | 23 |
| 38.71 | 57 |
| 40.54 | 45 |
| 40.83 | 76 |
| 44.28 | 29 |
| 47.23 | 38 |
| 52.55 | 25 |
| 52.79 | 20 |
| 66.74 | 22 |

***

7.
For Ta7Fe3B8, a DFT-relaxed cell (GGA-PBE, OQMD) gives the theoretical PXRD pattern in this record (Cu Kα (weighted mean of Kα1 and Kα2)).
Lines closer than 0.1° are merged.

Crystal structure
a = 8.3036 Å, b = 8.3036 Å, c = 3.3006 Å
α = 90.00°, β = 90.00°, γ = 120.00°
Sites, in units of the cell vectors:
Ta 0.0000 0.0000 0.0000
Ta 0.2124 0.4248 0.0000
Ta 0.2124 0.7876 0.0000
Ta 0.4248 0.2124 0.0000
Ta 0.5752 0.7876 0.0000
Ta 0.7876 0.2124 0.0000
Ta 0.7876 0.5752 0.0000
Fe 0.0000 0.5000 0.5000
Fe 0.5000 0.0000 0.5000
Fe 0.5000 0.5000 0.5000
B 0.0000 0.2195 0.5000
B 0.0000 0.7805 0.5000
B 0.2195 0.0000 0.5000
B 0.2195 0.2195 0.5000
B 0.3333 0.6667 0.5000
B 0.6667 0.3333 0.5000
B 0.7805 0.0000 0.5000
B 0.7805 0.7805 0.5000

Most intense lines, 5° ≤ 2θ ≤ 70°, by angle:
| 2theta | I/Imax |
| --- | --- |
| 27.01 | 36 |
| 32.95 | 67 |
| 36.97 | 16 |
| 43.11 | 100 |
| 43.60 | 11 |
| 50.78 | 9 |
| 55.70 | 13 |
| 64.83 | 11 |
| 66.26 | 19 |
| 67.70 | 10 |

***

8.
For TmFe4B4, a DFT-relaxed cell (GGA-PBE, OQMD) gives the theoretical PXRD pattern in this record (Cu Kα (weighted mean of Kα1 and Kα2)).
Lines closer than 0.1° are merged.

Crystal structure
a = 5.0041 Å, b = 5.0041 Å, c = 6.9171 Å
α = 90.00°, β = 90.00°, γ = 90.00°
Sites, in units of the cell vectors:
Tm 0.2500 0.7500 0.2500
Tm 0.7500 0.2500 0.7500
Fe 0.0066 0.7500 0.6168
Fe 0.2500 0.5066 0.8832
Fe 0.2500 0.9934 0.8832
Fe 0.4934 0.7500 0.6168
Fe 0.5066 0.2500 0.3832
Fe 0.7500 0.0066 0.1168
Fe 0.7500 0.4934 0.1168
Fe 0.9934 0.2500 0.3832
B 0.0742 0.2500 0.0929
B 0.2500 0.0742 0.5929
B 0.2500 0.4258 0.5929
B 0.4258 0.2500 0.0929
B 0.5742 0.7500 0.9071
B 0.7500 0.5742 0.4071
B 0.7500 0.9258 0.4071
B 0.9258 0.7500 0.9071

Most intense lines, 5° ≤ 2θ ≤ 70°, by angle:
| 2theta | I/Imax |
| --- | --- |
| 21.92 | 26 |
| 25.17 | 41 |
| 31.44 | 15 |
| 35.89 | 19 |
| 36.32 | 36 |
| 38.25 | 25 |
| 42.45 | 100 |
| 43.20 | 57 |
| 44.70 | 19 |
| 69.02 | 23 |

***

9.
For YTmFe8B2, a DFT-relaxed cell (GGA-PBE, OQMD) gives the theoretical PXRD pattern in this record (Cu Kα (weighted mean of Kα1 and Kα2)).
Lines closer than 0.1° are merged.

Crystal structure
a = 5.0417 Å, b = 5.0417 Å, c = 7.0174 Å
α = 90.00°, β = 90.00°, γ = 120.00°
Sites, in units of the cell vectors:
Y 0.0000 0.0000 0.0000
Tm 0.0000 0.0000 0.5000
Fe 0.0000 0.5000 0.2147
Fe 0.0000 0.5000 0.7853
Fe 0.3333 0.6667 0.5000
Fe 0.5000 0.0000 0.2147
Fe 0.5000 0.0000 0.7853
Fe 0.5000 0.5000 0.2147
Fe 0.5000 0.5000 0.7853
Fe 0.6667 0.3333 0.5000
B 0.3333 0.6667 0.0000
B 0.6667 0.3333 0.0000

Most intense lines, 5° ≤ 2θ ≤ 70°, by angle:
| 2theta | I/Imax |
| --- | --- |
| 32.74 | 84 |
| 35.61 | 28 |
| 37.93 | 27 |
| 38.49 | 16 |
| 41.36 | 73 |
| 44.24 | 100 |
| 52.14 | 15 |
| 62.16 | 26 |
| 68.63 | 18 |
| 69.98 | 24 |

***

10.
For FeBW, a DFT-relaxed cell (GGA-PBE, OQMD) gives the theoretical PXRD pattern in this record (Cu Kα (weighted mean of Kα1 and Kα2)).
Lines closer than 0.1° are merged.

Crystal structure
a = 4.3903 Å, b = 5.4054 Å, c = 5.3462 Å
α = 90.00°, β = 90.00°, γ = 90.00°
Sites, in units of the cell vectors:
Fe 0.2500 0.1548 0.0000
Fe 0.2500 0.3452 0.5000
Fe 0.7500 0.6548 0.5000
Fe 0.7500 0.8452 0.0000
B 0.0000 0.0000 0.3166
B 0.0000 0.5000 0.8166
B 0.5000 0.0000 0.3166
B 0.5000 0.5000 0.8166
W 0.2500 0.6584 0.1624
W 0.2500 0.8416 0.6624
W 0.7500 0.1584 0.6624
W 0.7500 0.3416 0.1624

Most intense lines, 5° ≤ 2θ ≤ 70°, by angle:
| 2theta | I/Imax |
| --- | --- |
| 23.40 | 37 |
| 26.15 | 48 |
| 33.52 | 31 |
| 41.12 | 38 |
| 42.78 | 100 |
| 43.00 | 80 |
| 47.85 | 20 |
| 53.68 | 17 |
| 54.06 | 18 |
| 69.78 | 14 |

***

Question: Which formula does entry 9 have?
Answer: YTmFe8B2

***

Copy entry 4 word for word.
For Fe2Sn3B, a DFT-relaxed cell (GGA-PBE, OQMD) gives the theoretical PXRD pattern in this record (Cu Kα (weighted mean of Kα1 and Kα2)).
Lines closer than 0.1° are merged.

Crystal structure
a = 6.3867 Å, b = 5.3921 Å, c = 4.9634 Å
α = 76.03°, β = 55.02°, γ = 48.95°
Sites, in units of the cell vectors:
Fe 0.0000 0.0000 0.5000
Fe 0.5000 0.5000 0.0000
Sn 0.0726 0.0726 0.9274
Sn 0.5906 0.9225 0.0775
Sn 0.9225 0.5906 0.4094
B 0.4909 0.4909 0.5091

Most intense lines, 5° ≤ 2θ ≤ 70°, by angle:
| 2theta | I/Imax |
| --- | --- |
| 22.41 | 59 |
| 34.98 | 73 |
| 37.47 | 100 |
| 37.84 | 34 |
| 40.23 | 35 |
| 45.73 | 66 |
| 46.70 | 32 |
| 61.42 | 33 |
| 64.78 | 33 |
| 69.91 | 31 |